# Dy5ScPt6
Calculated PXRD pattern, copper Kα. Input: a PBE-relaxed structure.

Main lines, by angle (2θ = 10–90°):
2θ = 36.31°, I = 25, hkl 6 0 0; 2θ = 36.54°, I = 26, hkl 2 0 -2; 2θ = 36.85°, I = 100, hkl 2 2 1; 2θ = 52.35°, I = 9, hkl 4 0 2; 2θ = 52.57°, I = 9, hkl 8 0 -2; 2θ = 65.91°, I = 10, hkl 0 2 3; 2θ = 66.04°, I = 9, hkl 6 2 -3; 2θ = 66.73°, I = 9, hkl 2 4 -2

Cell and atoms:
```
data_Dy5ScPt6
_symmetry_space_group_name_H-M 'C 1 2/m 1'
_symmetry_Int_Tables_number 12
_symmetry_space_group_name_Hall '-C 2y'
_cell_length_a 15.6226
_cell_length_b 6.8247
_cell_length_c 4.9183
_cell_angle_alpha 90.00
_cell_angle_beta 108.13
_cell_angle_gamma 90.00
loop_
_atom_site_label
_atom_site_type_symbol
_atom_site_fract_x
_atom_site_fract_y
_atom_site_fract_z
_atom_site_occupancy
Dy1 Dy 0.0000 0.0000 0.0000 1
Dy2 Dy 0.1663 0.5000 0.6662 1
Dy3 Dy 0.1669 0.0000 0.6666 1
Sc1 Sc 0.0000 0.5000 0.0000 1
Pt1 Pt 0.0000 0.2600 0.5000 1
Pt2 Pt 0.1579 0.2589 0.1577 1
```

=====

# Dy7PtSe5
Calculated PXRD pattern, copper Kα. Input: a PBE-relaxed structure.

Main lines, by angle (2θ = 10–90°):
2θ = 28.89°, I = 81, hkl 0 2 7; 2θ = 31.02°, I = 100, hkl 1 3 2; 2θ = 32.11°, I = 67, hkl 1 3 3; 2θ = 32.27°, I = 30, hkl 0 2 8; 2θ = 40.88°, I = 43, hkl 1 1 9; 2θ = 44.64°, I = 29, hkl 0 6 5; 2θ = 44.85°, I = 28, hkl 1 5 5; 2θ = 45.70°, I = 37, hkl 2 0 0

Cell and atoms:
```
data_Dy7PtSe5
_symmetry_space_group_name_H-M 'C m c 21'
_symmetry_Int_Tables_number 36
_symmetry_space_group_name_Hall 'C 2c -2'
_cell_length_a 3.9707
_cell_length_b 13.3948
_cell_length_c 24.3811
_cell_angle_alpha 90.00
_cell_angle_beta 90.00
_cell_angle_gamma 90.00
loop_
_atom_site_label
_atom_site_type_symbol
_atom_site_fract_x
_atom_site_fract_y
_atom_site_fract_z
_atom_site_occupancy
Dy1 Dy 0.0000 0.0414 0.0000 1
Dy2 Dy 0.0000 0.1379 0.2881 1
Dy3 Dy 0.0000 0.1395 0.7116 1
Dy4 Dy 0.0000 0.2950 0.0692 1
Dy5 Dy 0.0000 0.2962 0.9307 1
Dy6 Dy 0.0000 0.4103 0.3659 1
Dy7 Dy 0.0000 0.4122 0.6345 1
Pt1 Pt 0.0000 0.3059 0.4996 1
Se1 Se 0.0000 0.0558 0.3942 1
Se2 Se 0.0000 0.0570 0.6055 1
Se3 Se 0.0000 0.2196 0.1791 1
Se4 Se 0.0000 0.2212 0.8206 1
Se5 Se 0.0000 0.4990 0.2501 1
```

=====

# Dy4PtSe2
Calculated PXRD pattern, copper Kα. Input: a PBE-relaxed structure.

Main lines, by angle (2θ = 10–90°):
2θ = 28.77°, I = 96, hkl 0 2 4; 2θ = 30.59°, I = 29, hkl 1 1 3; 2θ = 31.40°, I = 100, hkl 1 3 1; 2θ = 33.32°, I = 66, hkl 1 3 2; 2θ = 40.10°, I = 57, hkl 1 1 5; 2θ = 45.77°, I = 30, hkl 0 6 3; 2θ = 46.64°, I = 34, hkl 2 0 0; 2θ = 55.72°, I = 31, hkl 2 2 4

Cell and atoms:
```
data_Dy4PtSe2
_symmetry_space_group_name_H-M 'C m c m'
_symmetry_Int_Tables_number 63
_symmetry_space_group_name_Hall '-C 2c 2'
_cell_length_a 3.8952
_cell_length_b 13.1228
_cell_length_c 14.0851
_cell_angle_alpha 90.00
_cell_angle_beta 90.00
_cell_angle_gamma 90.00
loop_
_atom_site_label
_atom_site_type_symbol
_atom_site_fract_x
_atom_site_fract_y
_atom_site_fract_z
_atom_site_occupancy
Dy1 Dy 0.0000 0.0000 0.0000 1
Dy2 Dy 0.0000 0.2908 0.1281 1
Dy3 Dy 0.0000 0.4511 0.7500 1
Pt1 Pt 0.0000 0.1078 0.7500 1
Se1 Se 0.0000 0.3585 0.5646 1
```

=====

# Dy6PtSe4
Calculated PXRD pattern, copper Kα. Input: a PBE-relaxed structure.

Main lines, by angle (2θ = 10–90°):
2θ = 29.03°, I = 81, hkl 0 2 6; 2θ = 30.51°, I = 55, hkl 1 3 1; 2θ = 31.43°, I = 100, hkl 1 3 2; 2θ = 32.91°, I = 34, hkl 1 3 3; 2θ = 42.16°, I = 36, hkl 1 1 8; 2θ = 44.21°, I = 34, hkl 0 6 4; 2θ = 45.86°, I = 35, hkl 2 0 0; 2θ = 55.19°, I = 29, hkl 2 2 6

Cell and atoms:
```
data_Dy6PtSe4
_symmetry_space_group_name_H-M 'C m c m'
_symmetry_Int_Tables_number 63
_symmetry_space_group_name_Hall '-C 2c 2'
_cell_length_a 3.9572
_cell_length_b 13.3766
_cell_length_c 20.7813
_cell_angle_alpha 90.00
_cell_angle_beta 90.00
_cell_angle_gamma 90.00
loop_
_atom_site_label
_atom_site_type_symbol
_atom_site_fract_x
_atom_site_fract_y
_atom_site_fract_z
_atom_site_occupancy
Dy1 Dy 0.0000 0.0000 0.0000 1
Dy2 Dy 0.0000 0.1777 0.2500 1
Dy3 Dy 0.0000 0.2726 0.5940 1
Dy4 Dy 0.0000 0.4345 0.1688 1
Pt1 Pt 0.0000 0.1683 0.7500 1
Se1 Se 0.0000 0.0814 0.1258 1
Se2 Se 0.0000 0.3573 0.0374 1
```